# 1
# BaCrBSe4
Simulated powder diffractogram, Cu Kα (weighted mean of Kα1 and Kα2). Input: a crystal structure in Alexandria, relaxed with PBE.
No peak broadening, texture or thermal motion is included.

```
BaCrBSe4
1.0
6.2253 0.0000 0.0000
0.0000 6.7783 0.0000
-2.5867 0.0000 8.0428
Ba Cr B Se
2 2 2 8
Cartesian
0.3983 1.6946 3.4929
3.2403 5.0837 4.5499
-0.7686 1.6946 7.4184
4.4071 5.0837 0.6244
1.3390 5.0837 1.3915
2.2996 1.6946 6.6513
-2.2037 5.0837 7.6301
-0.2798 5.0837 2.7217
1.0232 0.0843 6.4223
1.0232 3.3049 6.4223
2.6154 3.4734 1.6205
2.6154 6.6940 1.6205
3.9184 1.6946 5.3211
5.8422 1.6946 0.4127
```

The 8 most intense peaks (10° ≤ 2θ ≤ 90°), most intense first:
two_theta, Rel. int.
30.4, 100
34.9, 35
34.6, 34
33.3, 30
31.5, 25
32.2, 25
19.9, 23
28.7, 20



# 2
# Fe2Rh8W
Simulated powder diffractogram, Cu Kα (weighted mean of Kα1 and Kα2). Input: a crystal structure in Alexandria, relaxed with PBE.
No peak broadening, texture or thermal motion is included.

```
Fe2Rh8W
1.0
3.9331 -5.0366 0.0000
3.9331 5.0366 0.0000
0.0000 0.0000 4.0294
Fe Rh W
2 8 1
Cartesian
3.9331 3.8795 0.0000
3.9331 -3.8795 0.0000
1.3279 0.0000 2.0147
2.5965 1.3401 0.0000
3.9331 2.6035 2.0147
2.5965 -1.3401 0.0000
5.2697 1.3401 0.0000
3.9331 -2.6035 2.0147
5.2697 -1.3401 0.0000
6.5384 0.0000 2.0147
3.9331 0.0000 2.0147
```

The 8 most intense peaks (10° ≤ 2θ ≤ 90°), most intense first:
two_theta, Rel. int.
42.3, 100
42.1, 91
43.8, 49
45.0, 43
64.6, 30
31.8, 26
87.3, 24
79.6, 19



# 3
# Tb2Pr12Tm
Simulated powder diffractogram, Cu Kα (weighted mean of Kα1 and Kα2). Input: a crystal structure in Alexandria, relaxed with PBE.
No peak broadening, texture or thermal motion is included.

```
Tb2Pr12Tm
1.0
6.6241 0.0000 0.0000
0.0000 6.6241 0.0000
0.0000 0.0000 25.7105
Tb Pr Tm
4 24 2
Cartesian
1.6560 4.9681 5.9223
1.6560 4.9681 19.7883
4.9681 1.6560 5.9223
4.9681 1.6560 19.7883
0.4442 3.7563 9.9633
0.4442 6.1799 15.7472
0.5417 3.8537 24.0958
0.5417 6.0824 1.6147
1.6560 1.6560 4.2138
1.6560 1.6560 7.3623
1.6560 1.6560 18.3482
1.6560 1.6560 21.4967
2.7704 3.8537 1.6147
2.7704 6.0824 24.0958
2.8678 3.7563 15.7472
2.8678 6.1799 9.9633
3.7563 0.4442 15.7472
3.7563 2.8678 9.9633
3.8537 0.5417 1.6147
3.8537 2.7704 24.0958
4.9681 4.9681 4.2138
4.9681 4.9681 7.3623
4.9681 4.9681 18.3482
4.9681 4.9681 21.4967
6.0824 0.5417 24.0958
6.0824 2.7704 1.6147
6.1799 0.4442 9.9633
6.1799 2.8678 15.7472
1.6560 4.9681 12.8553
4.9681 1.6560 12.8553
```

The 8 most intense peaks (10° ≤ 2θ ≤ 90°), most intense first:
two_theta, Rel. int.
31.0, 100
27.8, 42
30.4, 37
38.4, 32
28.9, 29
31.3, 28
54.3, 27
33.3, 25



# 4
# NpSi5
Simulated powder diffractogram, Cu Kα (weighted mean of Kα1 and Kα2). Input: a crystal structure in Alexandria, relaxed with PBE.
No peak broadening, texture or thermal motion is included.

```
NpSi5
1.0
2.1483 -6.2470 0.0000
2.1483 6.2470 0.0000
0.0000 0.0000 3.5445
Np Si
1 5
Cartesian
0.0000 0.0000 0.0000
2.1483 3.9126 1.7723
2.1483 1.9545 0.0000
2.1483 0.0000 1.7723
2.1483 -1.9545 0.0000
2.1483 -3.9126 1.7723
```

The 8 most intense peaks (10° ≤ 2θ ≤ 90°), most intense first:
two_theta, Rel. int.
39.4, 100
14.2, 81
21.9, 59
33.6, 48
29.0, 40
29.9, 32
25.1, 24
62.1, 23



# 5
# ErAg2PbSe4
Simulated powder diffractogram, Cu Kα (weighted mean of Kα1 and Kα2). Input: a crystal structure in Alexandria, relaxed with PBE.
No peak broadening, texture or thermal motion is included.

```
ErAg2PbSe4
1.0
6.9142 0.0000 0.0000
0.0000 4.1545 0.0000
-2.4515 0.0000 6.8173
Er Ag Pb Se
1 2 1 4
Cartesian
0.0000 0.0000 0.0000
2.2314 0.0000 3.4086
3.4571 2.0772 0.0000
-1.2257 2.0772 3.4086
1.1568 2.0772 1.6246
-0.0525 0.0000 5.2085
4.5152 0.0000 1.6088
3.3059 2.0772 5.1927
```

The 8 most intense peaks (10° ≤ 2θ ≤ 90°), most intense first:
two_theta, Rel. int.
30.8, 100
30.9, 49
43.3, 38
45.0, 35
54.4, 20
43.6, 19
44.5, 18
26.4, 13



# 6
# Nd2NbWN6
Simulated powder diffractogram, Cu Kα (weighted mean of Kα1 and Kα2). Input: a crystal structure in Alexandria, relaxed with PBE.
No peak broadening, texture or thermal motion is included.

```
Nd2NbWN6
1.0
5.6623 0.0000 0.0000
0.0000 5.7423 0.0000
-5.6430 0.0000 8.0309
Nd Nb W N
4 2 2 12
Cartesian
-0.0401 0.2494 2.0083
-2.8617 2.6218 6.0238
2.8809 3.1206 2.0071
0.0594 5.4929 6.0225
2.8312 0.0000 0.0000
0.0096 2.8712 4.0154
-2.8215 0.0000 4.0154
0.0000 2.8712 0.0000
-4.4618 1.2461 7.6932
-1.6402 1.6251 3.6777
-4.0468 4.0691 7.7004
-1.2253 4.5445 3.6850
-2.3735 0.0946 5.9865
0.4480 2.7766 1.9710
-0.4287 2.9657 6.0598
2.3928 5.6478 2.0444
1.2446 1.1979 4.3459
4.0661 1.6733 0.3305
1.6595 4.1172 4.3531
4.4810 4.4963 0.3377
```

The 8 most intense peaks (10° ≤ 2θ ≤ 90°), most intense first:
two_theta, Rel. int.
31.4, 100
31.6, 25
31.2, 23
45.0, 22
56.1, 16
56.2, 16
55.6, 15
45.2, 12



# 7
# LaV3Si
Simulated powder diffractogram, Cu Kα (weighted mean of Kα1 and Kα2). Input: a crystal structure in Alexandria, relaxed with PBE.
No peak broadening, texture or thermal motion is included.

```
LaV3Si
1.0
4.6364 0.0000 0.0000
0.0000 4.6364 0.0000
0.0000 0.0000 4.6364
La V Si
1 3 1
Cartesian
0.0000 0.0000 0.0000
0.0000 2.3182 2.3182
2.3182 0.0000 2.3182
2.3182 2.3182 0.0000
2.3182 2.3182 2.3182
```

The 8 most intense peaks (10° ≤ 2θ ≤ 90°), most intense first:
two_theta, Rel. int.
33.5, 100
38.8, 73
27.2, 51
56.1, 47
66.9, 36
48.1, 22
70.3, 16
19.1, 13



# 8
# TcIr2AuF
Simulated powder diffractogram, Cu Kα (weighted mean of Kα1 and Kα2). Input: a crystal structure in Alexandria, relaxed with PBE.
No peak broadening, texture or thermal motion is included.

```
TcIr2AuF
1.0
4.9797 0.0000 0.0000
0.0000 4.9797 0.0000
0.0000 0.0000 3.9347
Tc Ir Au F
1 2 1 1
Cartesian
0.0000 0.0000 0.0000
0.0000 2.4899 1.9674
2.4899 0.0000 1.9674
2.4899 2.4899 1.9674
2.4899 2.4899 0.0000
```

The 8 most intense peaks (10° ≤ 2θ ≤ 90°), most intense first:
two_theta, Rel. int.
36.1, 100
22.6, 68
28.9, 57
43.0, 53
59.9, 46
34.2, 43
51.9, 35
46.9, 31



# 9
# HoTm2Os
Simulated powder diffractogram, Cu Kα (weighted mean of Kα1 and Kα2). Input: a crystal structure in Alexandria, relaxed with PBE.
No peak broadening, texture or thermal motion is included.

```
HoTm2Os
1.0
1.9783 -5.8599 0.0000
1.9783 5.8599 0.0000
0.0000 0.0000 8.8652
Ho Tm Os
2 4 2
Cartesian
1.9783 5.0001 6.6489
1.9783 -5.0001 2.2163
1.9783 1.7050 5.0088
1.9783 1.7050 8.2890
1.9783 -1.7050 0.5762
1.9783 -1.7050 3.8564
1.9783 2.8380 2.2163
1.9783 -2.8380 6.6489
```

The 8 most intense peaks (10° ≤ 2θ ≤ 90°), most intense first:
two_theta, Rel. int.
33.8, 100
34.0, 65
32.2, 61
31.2, 60
38.8, 58
15.1, 33
45.9, 32
36.8, 29



# 10
# Dy5Al2
Simulated powder diffractogram, Cu Kα (weighted mean of Kα1 and Kα2). Input: a crystal structure in Alexandria, relaxed with PBE.
No peak broadening, texture or thermal motion is included.

```
Dy5Al2
1.0
-3.9821 7.2518 3.3022
3.9821 -7.2518 3.3022
3.9821 7.2518 -3.3022
Dy Al
10 4
Cartesian
3.9821 3.8560 -1.6511
5.2836 1.2365 0.0000
0.0000 0.0000 1.6511
1.3015 6.0154 0.0000
0.0000 3.3959 1.6511
3.9821 3.8560 1.6511
2.6805 1.2365 3.3022
0.0000 0.0000 4.9534
-1.3015 6.0154 3.3022
0.0000 3.3959 4.9534
2.1669 1.8360 0.0000
2.1669 -1.8360 3.3022
1.8151 9.0878 0.0000
1.8151 5.4158 3.3022
```

The 8 most intense peaks (10° ≤ 2θ ≤ 90°), most intense first:
two_theta, Rel. int.
35.3, 100
36.8, 90
33.4, 86
29.9, 77
32.9, 57
34.3, 54
21.3, 52
54.5, 47



# 11
# K5Cl2OF
Simulated powder diffractogram, Cu Kα (weighted mean of Kα1 and Kα2). Input: a crystal structure in Alexandria, relaxed with PBE.
No peak broadening, texture or thermal motion is included.

```
K5Cl2OF
1.0
-2.4898 3.5892 7.6000
2.4898 -3.5892 7.6000
2.4898 3.5892 -7.6000
K Cl O F
5 2 1 1
Cartesian
0.0000 0.0000 0.0000
2.4898 1.7814 -1.8519
2.4898 1.7814 1.8519
0.0000 1.8078 5.7481
0.0000 1.8078 9.4519
0.0000 0.0000 3.1673
0.0000 0.0000 12.0326
2.4898 0.0000 0.0000
0.0000 3.5892 0.0000
```

The 8 most intense peaks (10° ≤ 2θ ≤ 90°), most intense first:
two_theta, Rel. int.
31.3, 100
34.4, 89
34.6, 66
50.7, 50
36.1, 49
13.6, 44
25.1, 29
35.6, 28



# 12
# Pm8Sm6Sc
Simulated powder diffractogram, Cu Kα (weighted mean of Kα1 and Kα2). Input: a crystal structure in Alexandria, relaxed with PBE.
No peak broadening, texture or thermal motion is included.

```
Pm8Sm6Sc
1.0
9.9886 0.0000 0.0000
-4.9943 8.6504 0.0000
0.0000 0.0000 5.9366
Pm Sm Sc
8 6 1
Cartesian
-0.8385 2.3478 1.5853
-2.5417 8.2027 1.5853
1.6140 1.9001 4.3513
0.0000 5.7669 1.6066
4.9943 2.8835 4.3300
3.3803 6.7503 1.5853
7.5360 0.4477 4.3513
5.8328 6.3025 4.3513
-1.4357 4.0503 4.4864
-0.7687 7.8686 4.4864
2.7898 3.2685 1.4503
2.2045 5.3818 4.4864
5.7630 0.7818 1.4503
6.4300 4.6000 1.4503
0.0000 0.0000 0.0000
```

The 8 most intense peaks (10° ≤ 2θ ≤ 90°), most intense first:
two_theta, Rel. int.
31.2, 100
30.1, 25
27.3, 23
54.2, 20
57.9, 19
48.2, 18
41.1, 18
58.6, 15